# 1
# Pb2OF2
Simulated X-ray diffraction stick pattern, Cu Kα X-rays. Input: a DFT-relaxed cell (PBE, the Materials Project).

Main lines, in order of falling intensity (10° ≤ 2θ ≤ 80°):
(2 0 1), 26.25°, I = 100.0
(2 2 0), 30.26°, I = 27.9
(4 2 1), 51.37°, I = 25.2
(2 2 2), 43.64°, I = 21.4
(4 0 0), 43.32°, I = 15.3
(1 1 0), 15.00°, I = 10.7
(3 1 1), 37.38°, I = 10.6
(3 2 2), 50.32°, I = 10.2
(2 1 3), 53.16°, I = 8.9
(0 0 2), 30.69°, I = 8.7

Structure:
```
20
Lattice="8.3538 0.0000 0.0000 0.0000 8.3538 0.0000 0.0000 0.0000 5.8255" Properties=species:S:1:pos:R:3 pbc="T T T"
Pb 0.2409 2.0885 0.3175
Pb 2.0885 0.2409 3.2302
Pb 2.0885 3.9361 3.2302
Pb 3.9361 2.0885 0.3175
Pb 4.4178 6.2654 5.5080
Pb 6.2654 4.4178 2.5953
Pb 6.2654 8.1130 2.5953
Pb 8.1130 6.2654 5.5080
O 2.0885 2.0885 1.9267
O 2.0885 2.0885 4.8395
O 6.2654 6.2654 0.9860
O 6.2654 6.2654 3.8988
F 0.3017 4.4786 1.4564
F 0.3017 8.0521 1.4564
F 3.8752 4.4786 1.4564
F 3.8752 8.0521 1.4564
F 4.4786 0.3017 4.3691
F 4.4786 3.8752 4.3691
F 8.0521 0.3017 4.3691
F 8.0521 3.8752 4.3691
```

---

# 2
# Ge3O
Simulated X-ray diffraction stick pattern, Cu Kα X-rays. Input: a DFT-relaxed cell (PBE, the Materials Project).

Main lines, in order of falling intensity (10° ≤ 2θ ≤ 80°):
(1 1 2), 39.20°, I = 100.0
(0 0 4), 36.85°, I = 36.9
(2 0 4), 63.26°, I = 26.3
(2 0 0), 49.48°, I = 25.0
(1 1 6), 67.95°, I = 18.5
(1 0 1), 25.85°, I = 17.1
(0 0 2), 18.18°, I = 9.8
(2 2 0), 72.57°, I = 8.7
(2 0 2), 53.13°, I = 5.2
(2 1 1), 56.65°, I = 4.9

Structure:
```
8
Lattice="3.6840 0.0000 0.0000 0.0000 3.6840 0.0000 0.0000 0.0000 9.7578" Properties=species:S:1:pos:R:3 pbc="T T T"
Ge 0.0000 0.0000 0.0000
Ge 0.0000 1.8420 2.4394
Ge 0.0000 1.8420 7.3183
Ge 1.8420 0.0000 2.4394
Ge 1.8420 0.0000 7.3183
Ge 1.8420 1.8420 4.8789
O 0.0000 0.0000 4.8789
O 1.8420 1.8420 0.0000
```

---

# 3
# USe2O7
Simulated X-ray diffraction stick pattern, Cu Kα X-rays. Input: a DFT-relaxed cell (PBE, the Materials Project).

Main lines, in order of falling intensity (10° ≤ 2θ ≤ 80°):
(0 0 2), 15.65°, I = 100.0
(2 2 -1), 33.17°, I = 18.9
(0 1 -1), 10.28°, I = 18.5
(2 -1 1), 28.06°, I = 18.1
(1 -3 1), 30.28°, I = 17.5
(1 -1 3), 26.28°, I = 16.0
(0 3 -2), 28.56°, I = 15.0
(0 1 2), 21.13°, I = 14.9
(-2 1 1), 28.95°, I = 14.5
(-1 1 2), 23.93°, I = 13.9

Structure:
```
40
Lattice="6.8087 0.0000 0.0000 -0.5546 9.5749 0.0000 -0.5261 -4.0460 11.3337" Properties=species:S:1:pos:R:3 pbc="T T T"
U 0.1373 3.2680 2.9442
U 1.8934 7.0503 2.9369
U 3.8346 -1.5214 8.3968
U 5.5906 2.2609 8.3895
Se -0.1989 -0.2377 4.2772
Se 0.4732 -1.0061 9.5847
Se 2.1723 1.7439 9.5766
Se 2.7859 0.9664 4.2919
Se 2.9421 4.5624 7.0419
Se 3.5556 3.7850 1.7572
Se 5.2548 6.5349 1.7490
Se 5.9269 5.7666 7.0565
O -0.0246 2.8997 1.1802
O -0.2069 5.6818 2.4112
O -0.3433 4.3670 7.8298
O -0.0250 8.4458 2.9992
O 0.3578 3.6938 4.6831
O 1.2941 0.3561 5.1808
O 1.0998 1.9357 8.2759
O 1.5126 -1.1852 8.2525
O 1.3401 0.3664 10.4774
O 1.6368 6.6440 4.6765
O 2.0551 1.8789 3.0302
O 2.1159 7.3941 1.1776
O 2.2279 4.6349 2.4732
O 2.4009 5.9468 7.8400
O 3.3271 -0.4179 3.4938
O 3.5001 0.8939 8.8606
O 3.6121 -1.8653 10.1561
O 3.6729 3.6499 8.3035
O 4.0912 -1.1151 6.6572
O 4.3878 5.1624 0.8563
O 4.2154 6.7140 3.0813
O 4.6282 3.5932 3.0578
O 4.4339 5.1728 6.1529
O 5.3702 1.8351 6.6506
O 5.7530 -2.9169 8.3345
O 6.0712 1.1619 3.5039
O 5.9348 -0.1530 8.9225
O 5.7525 2.6292 10.1536
```